# Nd5Sb4P
Computed XRD peak list, CuKα. Input: a crystal structure in Alexandria, relaxed with PBE.
Lines closer than 0.1° are merged.

Principal peaks in the range 10 to 90 degrees two-theta, in order of falling intensity:
40.5°, intensity 100
28.3°, intensity 93
28.4°, intensity 43
50.1°, intensity 35
66.2°, intensity 31
73.5°, intensity 22
66.4°, intensity 13
58.5°, intensity 12
73.7°, intensity 10
24.4°, intensity 7

Structural model:
```
10
Lattice="-2.2322 2.2322 15.7347 2.2322 -2.2322 15.7347 2.2322 2.2322 -15.7347" Properties=species:S:1:pos:R:3 pbc="T T T"
Nd 0.0000 0.0000 0.0000
Nd 0.0000 0.0000 6.3010
Nd 0.0000 0.0000 12.7991
Nd 0.0000 0.0000 18.6702
Nd 0.0000 0.0000 25.1683
Sb 0.0000 0.0000 3.1218
Sb 0.0000 0.0000 9.5158
Sb 0.0000 0.0000 21.9535
Sb 0.0000 0.0000 28.3475
P 0.0000 0.0000 15.7347
```